Entry 1:
Structure and calculated powder X-ray diffraction pattern of SbAsRh (a DFT-relaxed cell (PBE, the Materials Project); a wavelength of 1.5418 Å).
Intensities are scaled so that the largest is 100.

Crystal structure
```
data_SbAsRh
_cell_length_a 6.4231
_cell_length_b 6.4024
_cell_length_c 6.4966
_cell_angle_alpha 90.00
_cell_angle_beta 114.85
_cell_angle_gamma 90.00
_space_group_name_H-M_alt 'P 1'
_space_group_IT_number 1
loop_
_space_group_symop_operation_xyz
'x,y,z'
loop_
_atom_site_label
_atom_site_fract_x
_atom_site_fract_y
_atom_site_fract_z
Sb1 0.1559 0.1299 0.3682
Sb2 0.1559 0.3701 0.8682
Sb3 0.8441 0.6299 0.1318
Sb4 0.8441 0.8701 0.6318
As1 0.3470 0.6366 0.6764
As2 0.3470 0.8634 0.1764
As3 0.6530 0.1366 0.8236
As4 0.6530 0.3634 0.3236
Rh1 0.2847 0.5081 0.2957
Rh2 0.2847 0.9919 0.7957
Rh3 0.7153 0.0081 0.2043
Rh4 0.7153 0.4919 0.7043
```

Top 10 peaks for 10 to 90 degrees two-theta, in order of rising 2θ:
2θ/deg  d (Å)  intensity
30.32  2.948  37
30.68  2.914  48
32.45  2.759  100
33.47  2.678  46
33.79  2.652  50
44.32  2.044  41
44.84  2.021  46
45.69  1.986  37
50.15  1.819  52
52.41  1.746  33


Entry 2:
Structure and calculated powder X-ray diffraction pattern of Re2Cl5O4 (a DFT-relaxed cell (PBE, the Materials Project); a wavelength of 1.5418 Å).
Intensities are scaled so that the largest is 100.

Crystal structure
```
data_Re2Cl5O4
_cell_length_a 5.7251
_cell_length_b 9.0538
_cell_length_c 11.3920
_cell_angle_alpha 67.63
_cell_angle_beta 81.63
_cell_angle_gamma 80.36
_space_group_name_H-M_alt 'P 1'
_space_group_IT_number 1
loop_
_space_group_symop_operation_xyz
'x,y,z'
loop_
_atom_site_label
_atom_site_fract_x
_atom_site_fract_y
_atom_site_fract_z
Re1 0.1470 0.1051 0.1904
Re2 0.2858 0.5991 0.6484
Re3 0.7142 0.4009 0.3516
Re4 0.8530 0.8949 0.8096
Cl1 0.0759 0.1029 0.7044
Cl2 0.1062 0.8057 0.9683
Cl3 0.2487 0.3628 0.1163
Cl4 0.2711 0.0695 0.3827
Cl5 0.4547 0.3727 0.7869
Cl6 0.5453 0.6273 0.2131
Cl7 0.7289 0.9305 0.6173
Cl8 0.7513 0.6372 0.8837
Cl9 0.8938 0.1943 0.0317
Cl10 0.9241 0.8971 0.2956
O1 0.0333 0.5612 0.6050
O2 0.2073 0.7479 0.7143
O3 0.3831 0.0123 0.1272
O4 0.4787 0.6675 0.5137
O5 0.5213 0.3325 0.4863
O6 0.6169 0.9877 0.8728
O7 0.7927 0.2521 0.2857
O8 0.9667 0.4388 0.3950
```

Top 10 peaks for 10 to 90 degrees two-theta, in order of rising 2θ:
2θ/deg  d (Å)  intensity
15.83  5.597  100
16.90  5.246  31
17.41  5.093  91
20.85  4.259  35
21.91  4.057  51
22.09  4.025  67
23.73  3.750  25
24.71  3.603  39
25.04  3.556  26
28.23  3.161  20


Entry 3:
Structure and calculated powder X-ray diffraction pattern of CaB6 (a DFT-relaxed cell (PBE, the Materials Project); a wavelength of 1.5418 Å).
Intensities are scaled so that the largest is 100.

Crystal structure
```
data_CaB6
_cell_length_a 4.1501
_cell_length_b 4.1501
_cell_length_c 4.1501
_cell_angle_alpha 90.00
_cell_angle_beta 90.00
_cell_angle_gamma 90.00
_space_group_name_H-M_alt 'P 1'
_space_group_IT_number 1
loop_
_space_group_symop_operation_xyz
'x,y,z'
loop_
_atom_site_label
_atom_site_fract_x
_atom_site_fract_y
_atom_site_fract_z
Ca1 0.0000 0.0000 0.0000
B1 0.2018 0.5000 0.5000
B2 0.5000 0.2018 0.5000
B3 0.5000 0.5000 0.2018
B4 0.5000 0.5000 0.7982
B5 0.5000 0.7982 0.5000
B6 0.7982 0.5000 0.5000
```

Top 10 peaks for 10 to 90 degrees two-theta, in order of rising 2θ:
2θ/deg  d (Å)  intensity
21.41  4.150  5
30.46  2.935  100
37.54  2.396  48
43.62  2.075  25
49.09  1.856  38
54.13  1.694  7
67.74  1.383  33
71.95  1.312  22
76.06  1.251  7
88.06  1.109  9


Entry 4:
Structure and calculated powder X-ray diffraction pattern of TaPt3 (a DFT-relaxed cell (PBE, the Materials Project); a wavelength of 1.5418 Å).
Intensities are scaled so that the largest is 100.

Crystal structure
```
data_TaPt3
_cell_length_a 4.6142
_cell_length_b 5.6138
_cell_length_c 4.9341
_cell_angle_alpha 90.00
_cell_angle_beta 90.00
_cell_angle_gamma 90.00
_space_group_name_H-M_alt 'P 1'
_space_group_IT_number 1
loop_
_space_group_symop_operation_xyz
'x,y,z'
loop_
_atom_site_label
_atom_site_fract_x
_atom_site_fract_y
_atom_site_fract_z
Ta1 0.2500 0.2500 0.1604
Ta2 0.7500 0.7500 0.8396
Pt1 0.2500 0.9999 0.6662
Pt2 0.2500 0.5001 0.6662
Pt3 0.2500 0.7500 0.1583
Pt4 0.7500 0.0001 0.3338
Pt5 0.7500 0.2500 0.8417
Pt6 0.7500 0.4999 0.3338
```

Top 10 peaks for 10 to 90 degrees two-theta, in order of rising 2θ:
2θ/deg  d (Å)  intensity
36.84  2.440  26
39.04  2.307  42
41.51  2.176  56
41.89  2.157  100
54.76  1.676  17
65.81  1.419  18
72.41  1.305  11
72.67  1.301  20
79.26  1.209  22
81.64  1.179  16


Entry 5:
Structure and calculated powder X-ray diffraction pattern of Mg14NbZn (a DFT-relaxed cell (PBE, the Materials Project); a wavelength of 1.5418 Å).
Intensities are scaled so that the largest is 100.

Crystal structure
```
data_Mg14NbZn
_cell_length_a 10.0001
_cell_length_b 6.3226
_cell_length_c 6.3226
_cell_angle_alpha 59.57
_cell_angle_beta 90.00
_cell_angle_gamma 90.00
_space_group_name_H-M_alt 'P 1'
_space_group_IT_number 1
loop_
_space_group_symop_operation_xyz
'x,y,z'
loop_
_atom_site_label
_atom_site_fract_x
_atom_site_fract_y
_atom_site_fract_z
Mg1 0.0000 0.0000 0.0000
Mg2 0.0000 0.0006 0.5004
Mg3 0.0000 0.5004 0.0006
Mg4 0.0000 0.5000 0.5000
Mg5 0.2539 0.1623 0.1623
Mg6 0.2553 0.6646 0.6646
Mg7 0.2584 0.1665 0.6728
Mg8 0.2584 0.6728 0.1665
Mg9 0.5000 0.0044 0.4975
Mg10 0.5000 0.4975 0.0044
Mg11 0.7416 0.1665 0.6728
Mg12 0.7416 0.6728 0.1665
Mg13 0.7447 0.6646 0.6646
Mg14 0.7461 0.1623 0.1623
Nb1 0.5000 0.0017 0.0017
Zn1 0.5000 0.4985 0.4985
```

Top 10 peaks for 10 to 90 degrees two-theta, in order of rising 2θ:
2θ/deg  d (Å)  intensity
16.15  5.487  15
18.45  4.809  22
32.86  2.726  28
35.92  2.500  37
37.39  2.405  51
37.58  2.393  100
49.47  1.842  17
58.38  1.581  17
65.66  1.422  18
70.49  1.336  19


Entry 6:
Structure and calculated powder X-ray diffraction pattern of SrI2 (a DFT-relaxed cell (PBE, the Materials Project); a wavelength of 1.5418 Å).
Intensities are scaled so that the largest is 100.

Crystal structure
```
data_SrI2
_cell_length_a 7.7486
_cell_length_b 7.7486
_cell_length_c 5.0014
_cell_angle_alpha 90.00
_cell_angle_beta 90.00
_cell_angle_gamma 90.00
_space_group_name_H-M_alt 'P 1'
_space_group_IT_number 1
loop_
_space_group_symop_operation_xyz
'x,y,z'
loop_
_atom_site_label
_atom_site_fract_x
_atom_site_fract_y
_atom_site_fract_z
Sr1 0.0000 0.0000 0.0000
Sr2 0.5000 0.5000 0.5000
I1 0.1975 0.1975 0.5000
I2 0.3025 0.6975 0.0000
I3 0.6975 0.3025 0.0000
I4 0.8025 0.8025 0.5000
```

Top 10 peaks for 10 to 90 degrees two-theta, in order of rising 2θ:
2θ/deg  d (Å)  intensity
16.18  5.479  33
24.09  3.694  100
25.71  3.465  36
31.41  2.848  47
32.69  2.740  27
35.91  2.501  20
39.26  2.295  48
49.34  1.847  17
61.75  1.502  21
67.77  1.383  17


What did the fourth record say?
Structure and calculated powder X-ray diffraction pattern of TaPt3 (a DFT-relaxed cell (PBE, the Materials Project); a wavelength of 1.5418 Å).
Intensities are scaled so that the largest is 100.

Crystal structure
```
data_TaPt3
_cell_length_a 4.6142
_cell_length_b 5.6138
_cell_length_c 4.9341
_cell_angle_alpha 90.00
_cell_angle_beta 90.00
_cell_angle_gamma 90.00
_space_group_name_H-M_alt 'P 1'
_space_group_IT_number 1
loop_
_space_group_symop_operation_xyz
'x,y,z'
loop_
_atom_site_label
_atom_site_fract_x
_atom_site_fract_y
_atom_site_fract_z
Ta1 0.2500 0.2500 0.1604
Ta2 0.7500 0.7500 0.8396
Pt1 0.2500 0.9999 0.6662
Pt2 0.2500 0.5001 0.6662
Pt3 0.2500 0.7500 0.1583
Pt4 0.7500 0.0001 0.3338
Pt5 0.7500 0.2500 0.8417
Pt6 0.7500 0.4999 0.3338
```

Top 10 peaks for 10 to 90 degrees two-theta, in order of rising 2θ:
2θ/deg  d (Å)  intensity
36.84  2.440  26
39.04  2.307  42
41.51  2.176  56
41.89  2.157  100
54.76  1.676  17
65.81  1.419  18
72.41  1.305  11
72.67  1.301  20
79.26  1.209  22
81.64  1.179  16